[1]
Diffraction record for Ni2AsIr. The powder diffractogram is computed, not measured: it uses a crystal structure in Alexandria, relaxed with GGA-PBE and Cu Kα X-rays.
No peak broadening, texture or thermal motion is included.

Top 10 peaks for 2θ = 10–90°, in order of rising 2θ:
Position (°2θ)	I/Imax
20.13	17
29.71	22
37.37	30
43.58	100
44.07	31
46.74	39
59.12	15
72.18	16
80.71	16
88.59	16

Atomic structure:
```
4
Lattice="2.8716 0.0000 0.0000 0.0000 4.1100 0.0000 0.0000 0.0000 4.4114" Properties=species:S:1:pos:R:3 pbc="T T T"
Ni 0.0000 0.0000 0.0000
Ni 0.0000 2.0550 1.4023
As 1.4358 2.0550 3.7171
Ir 1.4358 0.0000 2.1704
```

[2]
Diffraction record for NiAsIr2. The powder diffractogram is computed, not measured: it uses a crystal structure in Alexandria, relaxed with GGA-PBE and Cu Kα X-rays.
No peak broadening, texture or thermal motion is included.

Top 10 peaks for 2θ = 10–90°, in order of rising 2θ:
Position (°2θ)	I/Imax
19.90	35
37.69	15
37.98	36
40.43	28
42.97	100
43.24	10
56.46	8
56.67	21
72.06	22
75.28	16

Atomic structure:
```
4
Lattice="1.3816 -2.3690 0.0000 1.3816 2.3690 0.0000 0.0000 0.0000 8.9247" Properties=species:S:1:pos:R:3 pbc="T T T"
Ni 0.0000 0.0000 0.0000
As 0.0000 0.0000 4.4623
Ir 1.3816 0.0000 2.1171
Ir 1.3816 0.0000 6.8076
```

[3]
Diffraction record for Ni2AsIr. The powder diffractogram is computed, not measured: it uses a crystal structure in Alexandria, relaxed with GGA-PBE and Cu Kα X-rays.
No peak broadening, texture or thermal motion is included.

Top 10 peaks for 2θ = 10–90°, in order of rising 2θ:
Position (°2θ)	I/Imax
25.90	18
27.48	16
42.16	100
46.43	19
50.25	15
50.47	14
70.81	11
83.13	14
88.84	12
89.19	10

Atomic structure:
```
4
Lattice="-1.8158 1.9556 3.6164 1.8158 -1.9556 3.6164 1.8158 1.9556 -3.6164" Properties=species:S:1:pos:R:3 pbc="T T T"
Ni 0.0000 0.0000 0.0000
Ni 0.0000 1.9556 1.6848
As 1.8158 0.0000 1.6191
Ir 0.0000 0.0000 3.3853
```

[4]
Diffraction record for NiAs4Ir. The powder diffractogram is computed, not measured: it uses a crystal structure in Alexandria, relaxed with GGA-PBE and Cu Kα X-rays.
No peak broadening, texture or thermal motion is included.

Top 10 peaks for 2θ = 10–90°, in order of rising 2θ:
Position (°2θ)	I/Imax
26.08	66
30.14	90
30.35	48
33.84	100
33.99	58
37.13	78
37.29	50
51.07	77
51.17	74
51.39	71

Atomic structure:
```
12
Lattice="5.9376 0.0000 0.0000 0.0000 5.8901 0.0000 -0.0160 0.0000 5.9224" Properties=species:S:1:pos:R:3 pbc="T T T"
Ni 0.0000 0.0000 0.0000
Ni -0.0080 2.9450 2.9612
As 0.6883 0.7275 3.6932
As 0.6964 2.2176 0.7320
As 2.2027 3.6178 3.6550
As 2.2107 5.2173 0.6938
As 3.7109 0.6728 5.2285
As 3.7189 2.2723 2.2673
As 5.2252 3.6725 5.1903
As 5.2333 5.1626 2.2291
Ir 2.9608 0.0000 2.9612
Ir 2.9688 2.9450 0.0000
```

[5]
Diffraction record for Pm2Ni3As4Ir. The powder diffractogram is computed, not measured: it uses a crystal structure in Alexandria, relaxed with GGA-PBE and Cu Kα X-rays.
No peak broadening, texture or thermal motion is included.

Top 10 peaks for 2θ = 10–90°, in order of rising 2θ:
Position (°2θ)	I/Imax
23.01	13
35.09	49
35.38	100
42.86	56
52.12	20
56.55	24
62.23	18
66.02	14
69.71	15
73.66	23

Atomic structure:
```
10
Lattice="4.2197 0.0000 0.0000 0.0000 4.2197 0.0000 0.0000 0.0000 9.6447" Properties=species:S:1:pos:R:3 pbc="T T T"
Pm 0.0000 2.1099 2.3791
Pm 2.1099 0.0000 7.2655
Ni 0.0000 2.1099 8.5124
Ni 2.1099 0.0000 1.1323
Ni 2.1099 2.1099 4.8223
As 0.0000 0.0000 0.0000
As 0.0000 2.1099 6.1525
As 2.1099 0.0000 3.4922
As 2.1099 2.1099 0.0000
Ir 0.0000 0.0000 4.8223
```

[6]
Diffraction record for As2IrO. The powder diffractogram is computed, not measured: it uses a crystal structure in Alexandria, relaxed with GGA-PBE and Cu Kα X-rays.
No peak broadening, texture or thermal motion is included.

Top 10 peaks for 2θ = 10–90°, in order of rising 2θ:
Position (°2θ)	I/Imax
18.79	49
29.26	100
30.37	25
39.15	27
46.25	11
48.63	47
48.89	22
57.55	15
58.00	27
78.81	11

Atomic structure:
```
8
Lattice="-2.6347 2.6347 5.3213 2.6347 -2.6347 5.3213 2.6347 2.6347 -5.3213" Properties=species:S:1:pos:R:3 pbc="T T T"
As 3.9521 1.1606 -1.3303
As 1.1606 1.3174 1.3303
As -1.3174 1.4741 3.9910
As 1.4741 1.3174 6.6516
Ir 2.6347 0.0000 2.6606
Ir 0.0000 0.0000 5.3213
O 0.0000 0.0000 0.0000
O 0.0000 2.6347 2.6606
```